# As2PHBr3F11
Computed powder diffractogram, a wavelength of 1.5418 Å. Input: a DFT-relaxed cell (PBE, the Materials Project).
Peak positions follow from Bragg's law for the DFT cell and can differ from measured ones.

Main lines, by intensity (2θ = 10–90°):
2θ/deg, d (Å), I_rel, h k l
24.0, 3.713, 100, 0 1 3
24.8, 3.585, 94, 1 2 -1
17.0, 5.220, 86, 1 1 0
20.9, 4.242, 67, 1 0 2
25.5, 3.492, 64, 1 2 1
25.0, 3.568, 63, 1 0 -3
19.6, 4.532, 53, 0 2 0
23.2, 3.842, 46, 1 1 2
18.9, 4.687, 38, 1 1 1
39.7, 2.269, 36, 0 4 0
33.6, 2.670, 35, 1 0 4
18.0, 4.921, 34, 1 1 -1

```
As2PHBr3F11
1.0
6.4073 0.0000 0.0000
0.0000 9.0642 0.0000
-1.0090 0.0000 12.2105
As P H Br F
4 2 2 6 22
Direct
0.1343 0.2500 0.1035 As
0.2056 0.2500 0.4147 As
0.7944 0.7500 0.5853 As
0.8657 0.7500 0.8965 As
0.4594 0.7500 0.1921 P
0.5406 0.2500 0.8079 P
0.3398 0.7500 0.0894 H
0.6602 0.2500 0.9106 H
0.2437 0.7500 0.3162 Br
0.3494 0.0568 0.7959 Br
0.3494 0.4432 0.7959 Br
0.6506 0.5568 0.2041 Br
0.6506 0.9432 0.2041 Br
0.7563 0.2500 0.6838 Br
0.0183 0.1140 0.3792 F
0.0183 0.3860 0.3792 F
0.0230 0.2500 0.9677 F
0.1141 0.7500 0.8446 F
0.1404 0.0565 0.1106 F
0.1404 0.4435 0.1106 F
0.1662 0.2500 0.5540 F
0.2610 0.2500 0.2492 F
0.3919 0.2500 0.0624 F
0.3990 0.1144 0.4235 F
0.3990 0.3856 0.4235 F
0.6010 0.6145 0.5765 F
0.6010 0.8856 0.5765 F
0.6081 0.7500 0.9376 F
0.7390 0.7500 0.7508 F
0.8338 0.7500 0.4460 F
0.8596 0.5565 0.8894 F
0.8596 0.9435 0.8894 F
0.8859 0.2500 0.1554 F
0.9770 0.7500 0.0323 F
0.9817 0.6140 0.6208 F
0.9817 0.8860 0.6208 F
```

# AsBrOF8
Computed powder diffractogram, a wavelength of 1.5418 Å. Input: a DFT-relaxed cell (PBE, the Materials Project).
Peak positions follow from Bragg's law for the DFT cell and can differ from measured ones.

Main lines, by intensity (2θ = 10–90°):
2θ/deg, d (Å), I_rel, h k l
22.4, 3.973, 100, 0 1 2
20.0, 4.438, 33, 2 0 0
24.5, 3.628, 28, 2 1 -1
22.5, 3.958, 27, 2 0 1
43.2, 2.092, 19, 4 1 -1
17.3, 5.125, 19, 1 1 -1
52.6, 1.741, 14, 1 0 5
24.6, 3.615, 13, 1 1 2
14.1, 6.274, 12, 1 1 0
33.4, 2.680, 11, 1 3 -1
30.1, 2.965, 10, 2 1 -2
46.9, 1.937, 9, 1 4 2

```
AsBrOF8
1.0
8.8601 0.0000 0.0000
0.0000 8.8800 0.0000
-0.0615 0.0000 8.8863
As Br O F
4 4 4 32
Direct
0.1140 0.0000 0.1360 As
0.3853 0.2299 0.6345 As
0.6147 0.7299 0.3655 As
0.8860 0.5000 0.8640 As
0.0296 0.5613 0.2958 Br
0.4541 0.6446 0.8038 Br
0.5459 0.1446 0.1962 Br
0.9704 0.0613 0.7042 Br
0.0346 0.9121 0.6308 O
0.3812 0.5803 0.9529 O
0.6188 0.0803 0.0471 O
0.9654 0.4121 0.3692 O
0.0826 0.4870 0.8614 F
0.1097 0.9873 0.9312 F
0.1108 0.1963 0.1212 F
0.1239 0.6490 0.4496 F
0.1293 0.0052 0.3319 F
0.1306 0.7998 0.1377 F
0.1794 0.2260 0.6218 F
0.2048 0.5007 0.2200 F
0.3000 0.7384 0.7154 F
0.3191 0.0062 0.1207 F
0.3700 0.4347 0.6409 F
0.3714 0.2265 0.8310 F
0.3865 0.2458 0.4344 F
0.3884 0.0338 0.6220 F
0.4184 0.7444 0.3591 F
0.4694 0.3199 0.1357 F
0.5306 0.8199 0.8643 F
0.5816 0.2444 0.6409 F
0.6116 0.5338 0.3780 F
0.6135 0.7458 0.5656 F
0.6286 0.7265 0.1690 F
0.6300 0.9347 0.3591 F
0.6809 0.5062 0.8793 F
0.7000 0.2384 0.2846 F
0.7952 0.0007 0.7800 F
0.8206 0.7260 0.3782 F
0.8694 0.2998 0.8623 F
0.8707 0.5052 0.6681 F
0.8761 0.1490 0.5504 F
0.8892 0.6963 0.8788 F
0.8903 0.4873 0.0688 F
0.9174 0.9870 0.1386 F
```